1.
Diffraction record for Lu2Bi3Mo4N3. The powder XRD pattern is simulated, not measured: it uses a cell relaxed with PBE and Cu Ka.
Lines closer than 0.1° are merged.

Peak list (10 most intense, 10 to 90 degrees two-theta, by intensity)
2θ 34.82, rel. 100, hkl 3 1 2
2θ 35.91, rel. 97, hkl 0 2 3
2θ 37.43, rel. 73, hkl 3 1 -4
2θ 30.41, rel. 47, hkl 3 1 -1
2θ 38.70, rel. 41, hkl 0 0 6
2θ 53.70, rel. 38, hkl 3 3 -1
2θ 54.21, rel. 20, hkl 6 0 -2
2θ 66.16, rel. 19, hkl 0 4 3
2θ 30.14, rel. 18, hkl 0 2 0
2θ 66.46, rel. 16, hkl 3 3 5

Structural model:
```
data_Lu2Bi3Mo4N3
_chemical_formula_sum 'Lu8 Bi12 Mo16 N12'
_cell_length_a 10.192
_cell_length_b 5.931
_cell_length_c 14.126
_cell_angle_alpha 90.00
_cell_angle_beta 98.75
_cell_angle_gamma 90.00
_symmetry_space_group_name_H-M 'C 1 2/c 1'
_symmetry_Int_Tables_number 15
_symmetry_space_group_name_Hall '-C 2yc'
loop_
_atom_site_label
_atom_site_fract_x
_atom_site_fract_y
_atom_site_fract_z
Lu1 0.068 0.087 0.410
Bi1 0.000 0.440 0.250
Bi2 0.179 0.112 0.736
Mo1 0.089 0.430 0.569
Mo2 0.222 0.417 0.940
N1 0.080 0.244 0.003
N2 0.250 0.250 0.500
```

2.
Diffraction record for LaMgInNi. The powder XRD pattern is simulated, not measured: it uses a cell relaxed with PBE and Cu Ka.
Lines closer than 0.1° are merged.

Peak list (10 most intense, 10 to 90 degrees two-theta, by intensity)
2θ 35.66, rel. 100, hkl 2 2 0
2θ 64.05, rel. 35, hkl 4 2 2
2θ 21.61, rel. 30, hkl 1 1 1
2θ 51.31, rel. 17, hkl 4 0 0
2θ 42.08, rel. 16, hkl 3 1 1
2θ 86.41, rel. 15, hkl 6 2 0
2θ 75.51, rel. 11, hkl 4 4 0
2θ 56.30, rel. 7, hkl 3 3 1
2θ 68.45, rel. 5, hkl 5 1 1
2θ 79.64, rel. 5, hkl 5 3 1

Structural model:
```
data_LaMgInNi
_chemical_formula_sum 'La4 Mg4 In4 Ni4'
_cell_length_a 7.122
_cell_length_b 7.122
_cell_length_c 7.122
_cell_angle_alpha 90.00
_cell_angle_beta 90.00
_cell_angle_gamma 90.00
_symmetry_space_group_name_H-M 'F -4 3 m'
_symmetry_Int_Tables_number 216
_symmetry_space_group_name_Hall 'F -4 2 3'
loop_
_atom_site_label
_atom_site_fract_x
_atom_site_fract_y
_atom_site_fract_z
La1 0.000 0.000 0.000
Mg1 0.000 0.000 0.500
In1 0.250 0.250 0.250
Ni1 0.250 0.250 0.750
```

3.
Diffraction record for Hg2CN2Cl2. The powder XRD pattern is simulated, not measured: it uses a cell relaxed with PBE and Cu Ka.
Lines closer than 0.1° are merged.

Peak list (10 most intense, 10 to 90 degrees two-theta, by intensity)
2θ 22.52, rel. 100, hkl 1 2 0
2θ 30.57, rel. 74, hkl 0 2 2
2θ 22.95, rel. 50, hkl 1 0 -2
2θ 34.08, rel. 38, hkl 3 0 0
2θ 14.84, rel. 36, hkl 1 1 0
2θ 41.17, rel. 24, hkl 1 4 0
2θ 24.59, rel. 23, hkl 2 1 0
2θ 40.98, rel. 23, hkl 3 2 -2
2θ 28.71, rel. 21, hkl 1 0 2
2θ 24.96, rel. 21, hkl 1 1 -2

Structural model:
```
data_Hg2CN2Cl2
_chemical_formula_sum 'Hg8 C4 N8 Cl8'
_cell_length_a 8.211
_cell_length_b 9.129
_cell_length_c 7.927
_cell_angle_alpha 90.00
_cell_angle_beta 106.09
_cell_angle_gamma 90.00
_symmetry_space_group_name_H-M 'P 1 21/c 1'
_symmetry_Int_Tables_number 14
_symmetry_space_group_name_Hall '-P 2ybc'
loop_
_atom_site_label
_atom_site_fract_x
_atom_site_fract_y
_atom_site_fract_z
Hg1 0.000 0.000 0.000
Hg2 0.000 0.000 0.500
Hg3 0.391 0.181 0.268
C1 0.365 0.589 0.576
N1 0.267 0.009 0.100
N2 0.465 0.675 0.545
Cl1 0.010 0.247 0.247
Cl2 0.303 0.021 0.576
```